Diffraction record for LiTiO2. The XRD peak list is calculated, not measured: it uses DFT lattice parameters and positions (GGA-PBE) and Cu Kα.
Peak positions follow from Bragg's law for the DFT cell and can differ from measured ones.

Structure:
```
data_LiTiO2
_cell_length_a 5.900
_cell_length_b 5.900
_cell_length_c 5.900
_cell_angle_alpha 120.59
_cell_angle_beta 89.32
_cell_angle_gamma 120.20
_space_group_name_H-M_alt 'P 1'
_space_group_IT_number 1
loop_
_space_group_symop_operation_xyz
'x,y,z'
loop_
_atom_site_label
_atom_site_type_symbol
_atom_site_fract_x
_atom_site_fract_y
_atom_site_fract_z
Li1 Li 0.000 0.000 0.000
Li2 Li 0.500 0.000 0.000
Li3 Li 0.500 0.000 0.500
Li4 Li 0.500 0.500 0.500
Ti1 Ti 0.000 0.000 0.500
Ti2 Ti 0.000 0.500 0.000
Ti3 Ti 0.000 0.500 0.500
Ti4 Ti 0.500 0.500 0.000
O1 O 0.227 0.977 0.250
O2 O 0.250 0.000 0.750
O3 O 0.250 0.500 0.250
O4 O 0.258 0.508 0.750
O5 O 0.742 0.492 0.250
O6 O 0.750 0.000 0.250
O7 O 0.750 0.500 0.750
O8 O 0.773 0.023 0.750
```

The 12 most intense peaks (2θ = 10–90°), low angle first:
2θ = 18.42°, d = 4.817 Å, I 72.8
2θ = 21.43°, d = 4.147 Å, I 46.8
2θ = 30.30°, d = 2.950 Å, I 37.2
2θ = 35.53°, d = 2.527 Å, I 12.6
2θ = 35.93°, d = 2.499 Å, I 21.4
2θ = 43.11°, d = 2.098 Å, I 52.6
2θ = 43.65°, d = 2.074 Å, I 100.0
2θ = 63.02°, d = 1.475 Å, I 55.1
2θ = 63.24°, d = 1.471 Å, I 13.3
2θ = 63.65°, d = 1.462 Å, I 13.4
2θ = 79.61°, d = 1.204 Å, I 12.1
2θ = 79.99°, d = 1.200 Å, I 12.3

***

Diffraction record for Ho3GaS6. The XRD peak list is calculated, not measured: it uses DFT lattice parameters and positions (GGA-PBE) and Cu Kα.
Peak positions follow from Bragg's law for the DFT cell and can differ from measured ones.

Structure:
```
data_Ho3GaS6
_cell_length_a 8.516
_cell_length_b 8.516
_cell_length_c 6.462
_cell_angle_alpha 90.00
_cell_angle_beta 90.00
_cell_angle_gamma 102.50
_space_group_name_H-M_alt 'P 1'
_space_group_IT_number 1
loop_
_space_group_symop_operation_xyz
'x,y,z'
loop_
_atom_site_label
_atom_site_type_symbol
_atom_site_fract_x
_atom_site_fract_y
_atom_site_fract_z
Ho1 Ho 0.098 0.902 0.500
Ho2 Ho 0.215 0.415 0.420
Ho3 Ho 0.415 0.215 0.920
Ho4 Ho 0.585 0.785 0.420
Ho5 Ho 0.785 0.585 0.920
Ho6 Ho 0.902 0.098 0.000
Ga1 Ga 0.298 0.702 0.883
Ga2 Ga 0.702 0.298 0.383
S1 S 0.067 0.602 0.700
S2 S 0.136 0.189 0.710
S3 S 0.189 0.136 0.210
S4 S 0.282 0.718 0.235
S5 S 0.398 0.933 0.700
S6 S 0.460 0.540 0.738
S7 S 0.540 0.460 0.238
S8 S 0.602 0.067 0.200
S9 S 0.718 0.282 0.735
S10 S 0.811 0.864 0.710
S11 S 0.864 0.811 0.210
S12 S 0.933 0.398 0.200
```

The 12 most intense peaks (2θ = 10–90°), low angle first:
2θ = 17.38°, d = 5.102 Å, I 21.7
2θ = 25.48°, d = 3.496 Å, I 100.0
2θ = 25.78°, d = 3.455 Å, I 56.8
2θ = 25.96°, d = 3.433 Å, I 18.0
2θ = 27.61°, d = 3.231 Å, I 12.6
2θ = 35.23°, d = 2.548 Å, I 21.9
2θ = 38.26°, d = 2.353 Å, I 41.2
2θ = 38.89°, d = 2.316 Å, I 24.2
2θ = 42.50°, d = 2.127 Å, I 42.3
2θ = 49.50°, d = 1.841 Å, I 21.8
2θ = 49.97°, d = 1.825 Å, I 17.0
2θ = 51.43°, d = 1.777 Å, I 24.1